For MgTiNbO4, the PBE geometry in the Materials Project gives the computed X-ray powder pattern in this record (λ = 1.5418 Å (Cu Kα)).

Top 10 peaks for 10° ≤ 2θ ≤ 90°, by intensity:
Position (°2θ)  d_spacing  Rel. int.
25.1  3.553  100
34.3  2.616  48
22.8  3.905  47
36.5  2.463  39
42.6  2.123  38
51.8  1.765  31
36.0  2.492  30
50.1  1.822  28
47.8  1.902  26
69.2  1.357  24

Atomic structure:
abc: 5.740 5.740 5.740
angles: 141.31 136.60 59.53
Sites, in units of the cell vectors:
Mg 0.000 0.000 0.000
Ti 0.601 0.601 0.000
Nb 0.288 0.788 0.500
O 0.070 0.570 0.500
O 0.356 0.356 0.000
O 0.535 0.035 0.500
O 0.800 0.800 0.000